[1]
Simulated X-ray diffraction stick pattern of Sr3PN for a wavelength of 1.5418 Å, from the PBE geometry in the Materials Project.
Peak positions follow from Bragg's law for the DFT cell and can differ from measured ones.

Structure:
```
data_Sr3PN
_space_group_name_H-M_alt 'P m -3 m'
_space_group_IT_number 221
_space_group_name_Hall '-P 4 2 3'
_cell_length_a 5.0807
_cell_length_b 5.0807
_cell_length_c 5.0807
_cell_angle_alpha 90.00
_cell_angle_beta 90.00
_cell_angle_gamma 90.00
loop_
_atom_site_label
_atom_site_type_symbol
_atom_site_fract_x
_atom_site_fract_y
_atom_site_fract_z
_atom_site_occupancy
Sr1 Sr 0.0000 0.0000 0.5000 1
P1 P 0.5000 0.5000 0.5000 1
N1 N 0.0000 0.0000 0.0000 1
```

Peak list (10 most intense, 10 to 90 degrees two-theta, by intensity)
Position (°2θ)	intensity	hkl
30.5	100.0	1 1 1
35.3	60.5	2 0 0
60.4	42.1	3 1 1
50.8	41.2	2 2 0
85.5	18.6	4 2 0
17.5	18.3	1 0 0
82.8	17.7	3 3 1
63.4	14.0	2 2 2
39.7	9.3	2 1 0
74.7	6.5	4 0 0



[2]
Simulated X-ray diffraction stick pattern of LuB4Os for a wavelength of 1.5418 Å, from the PBE geometry in the Materials Project.
Peak positions follow from Bragg's law for the DFT cell and can differ from measured ones.

Structure:
```
data_LuB4Os
_space_group_name_H-M_alt 'P b a m'
_space_group_IT_number 55
_cell_length_a 5.9170
_cell_length_b 11.4410
_cell_length_c 3.5373
_cell_angle_alpha 90.00
_cell_angle_beta 90.00
_cell_angle_gamma 90.00
loop_
_space_group_symop_operation_xyz
'x,y,z'
'-x,-y,-z'
'-x,-y,z'
'x,y,-z'
'x+1/2,-y+1/2,-z'
'-x+1/2,y+1/2,z'
'-x+1/2,y+1/2,-z'
'x+1/2,-y+1/2,z'
loop_
_atom_site_label
_atom_site_type_symbol
_atom_site_fract_x
_atom_site_fract_y
_atom_site_fract_z
_atom_site_occupancy
Lu1 Lu 0.1288 0.1499 0.0000 1
B1 B 0.0238 0.6928 0.5000 1
B2 B 0.1135 0.5476 0.5000 1
B3 B 0.1348 0.9703 0.5000 1
B4 B 0.2079 0.8138 0.5000 1
Os1 Os 0.1425 0.4058 0.0000 1
```

Peak list (10 most intense, 10 to 90 degrees two-theta, by intensity)
Position (°2θ)	intensity	hkl
40.5	100.0	0 4 1
25.2	87.5	0 0 1
31.2	86.2	0 4 0
46.6	37.5	2 3 1
38.5	28.2	2 3 0
43.5	26.5	1 4 1
61.6	25.8	0 4 2
34.8	20.7	1 4 0
51.7	18.2	0 0 2
73.1	12.4	1 8 1